1.
Structure and theoretical X-ray powder pattern of Na2Dy2B2TeO10 (a structure optimized by DFT (GGA-PBE); a wavelength of 1.5418 Å).
Peak positions follow from Bragg's law for the DFT cell and can differ from measured ones.

```
Na2Dy2B2TeO10
1.0
6.2748 0.0000 0.0000
0.0000 9.9475 0.0000
-1.6577 0.0000 6.5080
Na Dy B Te O
4 4 4 2 20
direct
0.0847 0.1099 0.1652
0.0847 0.3901 0.6652
0.9153 0.6099 0.3348
0.9153 0.8901 0.8348
0.3735 0.6673 0.9771
0.3735 0.8327 0.4771
0.6265 0.1673 0.5229
0.6265 0.3327 0.0229
0.1616 0.1005 0.6256
0.1616 0.3995 0.1256
0.8384 0.6005 0.8744
0.8384 0.8995 0.3744
0.5000 0.0000 0.0000
0.5000 0.5000 0.5000
0.0188 0.6764 0.9491
0.0188 0.8236 0.4491
0.2045 0.0610 0.8351
0.2045 0.4390 0.3351
0.2994 0.0599 0.5074
0.2994 0.4401 0.0074
0.3348 0.6163 0.6346
0.3348 0.8837 0.1346
0.4888 0.1510 0.1770
0.4888 0.3490 0.6770
0.5112 0.6510 0.3230
0.5112 0.8490 0.8230
0.6652 0.1163 0.8654
0.6652 0.3837 0.3654
0.7006 0.5599 0.9926
0.7006 0.9401 0.4926
0.7955 0.5610 0.6649
0.7955 0.9390 0.1649
0.9812 0.1764 0.5509
0.9812 0.3236 0.0509
```

The 10 most intense peaks (10° ≤ 2θ ≤ 90°), sorted by position:
14.6°, I 100; 17.1°, I 40; 27.4°, I 42; 27.7°, I 27; 30.3°, I 65; 30.7°, I 38; 32.2°, I 40; 34.4°, I 33; 49.3°, I 19; 50.3°, I 22


2.
Structure and theoretical X-ray powder pattern of Tm2Zr2Ni (a structure optimized by DFT (GGA-PBE); a wavelength of 1.5418 Å).
Peak positions follow from Bragg's law for the DFT cell and can differ from measured ones.

```
Tm2Zr2Ni
1.0
5.0174 0.0000 0.0000
-2.5087 4.3452 0.0000
0.0000 0.0000 10.3099
Tm Zr Ni
4 4 2
direct
0.3333 0.6667 0.0930
0.3333 0.6667 0.4070
0.6667 0.3333 0.5930
0.6667 0.3333 0.9070
0.0000 0.0000 0.0000
0.0000 0.0000 0.5000
0.3333 0.6667 0.7500
0.6667 0.3333 0.2500
0.0000 0.0000 0.2500
0.0000 0.0000 0.7500
```

The 10 most intense peaks (10° ≤ 2θ ≤ 90°), sorted by position:
22.2°, I 12; 33.2°, I 95; 35.8°, I 100; 40.7°, I 21; 49.6°, I 31; 62.7°, I 30; 64.3°, I 18; 65.9°, I 14; 85.4°, I 13; 88.2°, I 12


3.
Structure and theoretical X-ray powder pattern of Tb2DyAl3CuNi2 (a structure optimized by DFT (GGA-PBE); a wavelength of 1.5418 Å).
Peak positions follow from Bragg's law for the DFT cell and can differ from measured ones.

```
Tb2DyAl3CuNi2
1.0
3.9675 0.0000 0.0000
0.0000 6.0249 3.4758
0.0000 -6.0249 3.4758
Tb Dy Al Cu Ni
2 1 3 1 2
direct
0.0000 0.2095 0.7905
0.0000 0.7905 0.2095
0.0000 0.6285 0.6285
0.5000 0.2102 0.4486
0.5000 0.4486 0.2102
0.5000 0.9706 0.9706
0.0000 0.2102 0.2102
0.5000 0.5434 0.8755
0.5000 0.8755 0.5434
```

The 10 most intense peaks (10° ≤ 2θ ≤ 90°), sorted by position:
22.4°, I 28; 25.6°, I 32; 29.7°, I 36; 34.3°, I 91; 37.5°, I 100; 39.6°, I 30; 45.7°, I 23; 55.0°, I 24; 60.1°, I 35; 74.2°, I 20


4.
Structure and theoretical X-ray powder pattern of Na4AlInAg2 (a structure optimized by DFT (GGA-PBE); a wavelength of 1.5418 Å).
Peak positions follow from Bragg's law for the DFT cell and can differ from measured ones.

```
Na4AlInAg2
1.0
4.9134 0.0000 0.0000
0.0000 4.9134 0.0000
0.0000 0.0000 7.0128
Na Al In Ag
4 1 1 2
direct
0.0000 0.0000 0.0000
0.0000 0.5000 0.2416
0.5000 0.0000 0.7584
0.5000 0.5000 0.5000
0.5000 0.5000 0.0000
0.0000 0.0000 0.5000
0.0000 0.5000 0.7683
0.5000 0.0000 0.2317
```

The 10 most intense peaks (10° ≤ 2θ ≤ 90°), sorted by position:
18.1°, I 11; 22.1°, I 68; 28.7°, I 12; 36.4°, I 100; 36.6°, I 51; 42.8°, I 11; 43.1°, I 23; 52.7°, I 17; 65.4°, I 15; 65.7°, I 32